Ac2MnBi2O2: calculated PXRD pattern (Cu Kα (λ = 1.5418 Å)), based on a cell relaxed with GGA+U.
Lines closer than 0.1° are merged.

The 10 most intense peaks (2θ = 10–90°), by intensity:
d (Å)  I_rel  h k l
3.235  100.0  1 1 1
2.651  60.3  3 1 -2
2.804  36.8  3 1 0
3.374  31.4  0 0 2
3.088  26.4  4 0 -1
2.166  25.5  0 2 0
2.518  24.4  2 0 -3
1.839  23.6  1 1 3
2.861  20.3  4 0 -2
2.759  18.9  4 0 0

Atomic structure:
```
data_Ac2MnBi2O2
_cell_length_a 12.368
_cell_length_b 4.333
_cell_length_c 7.563
_cell_angle_alpha 90.00
_cell_angle_beta 116.85
_cell_angle_gamma 90.00
_symmetry_space_group_name_H-M 'C 1 2/m 1'
_symmetry_Int_Tables_number 12
loop_
_symmetry_equiv_pos_as_xyz
'x,y,z'
'-x,-y,-z'
'-x,y,-z'
'x,-y,z'
'x+1/2,y+1/2,z'
'-x+1/2,-y+1/2,-z'
'-x+1/2,y+1/2,-z'
'x+1/2,-y+1/2,z'
loop_
_atom_site_label
_atom_site_fract_x
_atom_site_fract_y
_atom_site_fract_z
Ac1 0.215 0.000 0.270
Mn1 0.000 0.000 0.500
Bi1 0.037 0.500 0.828
O1 0.188 0.000 0.577
```